# CdCoI4
Computed XRD peak list, Cu Kα. Input: a PBE-relaxed structure.
Kinematic intensities with the Lorentz-polarization factor, no thermal factor.

Peak list (12 most intense, 2θ = 15–90°, most intense first)
2θ/deg	I (rel.)	hkl
17.7	100	0 0 2
36.3	59	2 2 2
31.5	43	2 2 0
28.5	25	2 0 2
48.4	25	2 2 4
22.1	24	2 0 0
48.8	22	4 0 2
35.8	17	0 0 4
45.1	14	4 0 0
58.9	13	4 0 4
41.5	11	3 2 1
64.7	10	2 2 6

Atomic structure:
```
data_CdCoI4
_chemical_formula_sum 'Cd2 Co2 I8'
_symmetry_space_group_name_H-M 'P 1'
_symmetry_Int_Tables_number 1
_cell_length_a 8.0371
_cell_length_b 8.0371
_cell_length_c 10.0231
_cell_angle_alpha 90.00
_cell_angle_beta 90.00
_cell_angle_gamma 90.00
loop_
_symmetry_equiv_pos_as_xyz
'x,y,z'
loop_
_atom_site_label
_atom_site_fract_x
_atom_site_fract_y
_atom_site_fract_z
Cd1 0.0000 0.0000 0.0000
Cd2 0.0000 0.0000 0.5000
Co1 0.0000 0.5000 0.0000
Co2 0.5000 0.0000 0.5000
I1 0.2324 0.2729 0.0000
I2 0.2324 0.7271 0.0000
I3 0.2729 0.2324 0.5000
I4 0.2729 0.7676 0.5000
I5 0.7271 0.2324 0.5000
I6 0.7271 0.7676 0.5000
I7 0.7676 0.2729 0.0000
I8 0.7676 0.7271 0.0000
```